Record 1
# Ba6Sr3Mg
Calculated X-ray powder pattern, Cu Kα X-rays. Input: a GGA-PBE-relaxed structure.

Top 12 peaks for 10° ≤ 2θ ≤ 80°, low angle first:
2theta, d [Å], I/Imax, hkl
24.07, 3.697, 1000, 0 0 3
27.86, 3.202, 551, 1 1 2
39.76, 2.267, 213, 2 -1 4
39.87, 2.261, 192, 3 0 0
47.04, 1.932, 311, 1 1 5
47.12, 1.929, 103, 2 2 1
49.34, 1.847, 96, 4 -2 2
63.38, 1.467, 71, 5 -1 1
65.07, 1.434, 75, 3 0 6
65.22, 1.431, 72, 4 1 2
72.33, 1.306, 75, 5 -1 4
77.48, 1.232, 72, 4 1 5

Atomic structure:
Unit cell a=7.8334 b=7.8334 c=11.1211 alpha=90.00 beta=90.00 gamma=120.00
Space group P-31m (No. 162)
Unique sites:
Ba 0.0000 0.3628 0.3202
Sr 0.0000 0.0000 0.0000
Sr 0.3333 0.6667 0.0000
Mg 0.0000 0.0000 0.5000

Record 2
# Ba5SrMg4
Calculated X-ray powder pattern, Cu Kα X-rays. Input: a GGA-PBE-relaxed structure.

Top 12 peaks for 10° ≤ 2θ ≤ 80°, low angle first:
2theta, d [Å], I/Imax, hkl
20.25, 4.385, 497, 1 0 0
22.63, 3.929, 157, 0 0 6
25.32, 3.518, 151, 1 0 4
27.79, 3.211, 1000, 1 0 5
28.79, 3.101, 707, 1 1 0
30.55, 2.926, 259, 1 0 6
36.93, 2.434, 177, 1 1 6
41.17, 2.193, 265, 2 0 0
47.21, 1.925, 196, 1 0 11
50.40, 1.811, 379, 2 1 5
51.87, 1.763, 158, 1 1 11
64.40, 1.447, 157, 2 1 11

Atomic structure:
Unit cell a=4.3850 b=4.3850 c=23.5712 alpha=90.00 beta=90.00 gamma=90.00
Space group P4/mmm (No. 123)
Unique sites:
Ba 0.0000 0.0000 0.0000
Ba 0.0000 0.0000 0.1850
Ba 0.0000 0.0000 0.3676
Sr 0.5000 0.5000 0.5000
Mg 0.5000 0.5000 0.0916
Mg 0.5000 0.5000 0.2782

Record 3
# Ba3Sr9Mg
Calculated X-ray powder pattern, Cu Kα X-rays. Input: a GGA-PBE-relaxed structure.

Top 12 peaks for 10° ≤ 2θ ≤ 80°, low angle first:
2theta, d [Å], I/Imax, hkl
22.61, 3.932, 210, 2 2 0
24.55, 3.626, 516, 6 0 -4
24.78, 3.594, 464, 2 2 1
24.97, 3.565, 282, 5 1 -4
25.40, 3.506, 589, 0 0 4
25.53, 3.489, 175, 1 1 -4
25.72, 3.464, 550, 4 2 -1
26.29, 3.389, 1000, 6 0 0
27.29, 3.268, 276, 4 2 0
28.28, 3.156, 186, 2 2 2
30.07, 2.972, 229, 4 2 -4
34.05, 2.633, 168, 4 2 -5

Atomic structure:
Unit cell a=24.3373 b=8.5266 c=16.7670 alpha=90.00 beta=123.24 gamma=90.00
Space group Cc (No. 9)
Unique sites:
Ba 0.0000 0.0033 0.0000
Ba 0.1686 0.3597 0.5546
Ba 0.3356 0.1921 0.5240
Sr 0.0065 0.3592 0.8190
Sr 0.0219 0.1481 0.2654
Sr 0.1770 0.4935 0.3228
Sr 0.1861 0.0359 0.7684
Sr 0.1872 0.1087 0.0071
Sr 0.3181 0.3282 0.2644
Sr 0.3528 0.3157 0.0410
Sr 0.3556 0.1684 0.7892
Sr 0.4982 0.0215 0.0599
Mg 0.1272 0.2845 0.1218